# 1
Starting from a PBE-relaxed structure, the powder X-ray diffraction pattern of Al4Cu15 was calculated for λ = 1.5418 Å (Cu Kα).
No peak broadening, texture or thermal motion is included.

abc: 3.6088 3.6088 18.4562
angles: 90.00 90.00 90.00
Atoms (fractional coordinates):
Al 0.0000 0.0000 0.1033
Al 0.0000 0.0000 0.3090
Al 0.0000 0.0000 0.6910
Al 0.0000 0.0000 0.8967
Cu 0.0000 0.5000 0.0000
Cu 0.0000 0.5000 0.2073
Cu 0.0000 0.5000 0.4100
Cu 0.0000 0.5000 0.5900
Cu 0.0000 0.5000 0.7927
Cu 0.5000 0.0000 0.0000
Cu 0.5000 0.0000 0.2073
Cu 0.5000 0.0000 0.4100
Cu 0.5000 0.0000 0.5900
Cu 0.5000 0.0000 0.7927
Cu 0.5000 0.5000 0.1034
Cu 0.5000 0.5000 0.3104
Cu 0.5000 0.5000 0.5000
Cu 0.5000 0.5000 0.6896
Cu 0.5000 0.5000 0.8966

Most intense lines, 10° ≤ 2θ ≤ 90°, sorted by position:
2θ/deg	I (rel.)
24.67	10
34.77	8
43.10	100
49.38	14
50.59	32
73.38	15
74.35	9
90.00	21


# 2
Starting from a PBE-relaxed structure, the powder X-ray diffraction pattern of Al3Cu was calculated for λ = 1.5418 Å (Cu Kα).
No peak broadening, texture or thermal motion is included.

abc: 3.9242 3.9242 3.9242
angles: 90.00 90.00 90.00
Atoms (fractional coordinates):
Al 0.0000 0.0000 0.5000
Al 0.0000 0.5000 0.0000
Al 0.5000 0.0000 0.0000
Cu 0.5000 0.5000 0.5000

Most intense lines, 10° ≤ 2θ ≤ 90°, sorted by position:
2θ/deg	I (rel.)
22.66	25
32.26	21
39.79	100
46.27	48
52.12	10
67.51	29
81.32	34
85.77	10


# 3
Starting from a PBE-relaxed structure, the powder X-ray diffraction pattern of AlCu was calculated for λ = 1.5418 Å (Cu Kα).
No peak broadening, texture or thermal motion is included.

abc: 6.3772 6.3772 6.9203
angles: 122.85 122.85 37.46
Atoms (fractional coordinates):
Al 0.0000 0.0000 0.0000
Al 0.1218 0.1218 0.5043
Al 0.3438 0.3438 0.0386
Al 0.6562 0.6562 0.9614
Al 0.8782 0.8782 0.4957
Cu 0.2421 0.2421 0.2594
Cu 0.3910 0.3910 0.7281
Cu 0.5000 0.5000 0.5000
Cu 0.6090 0.6090 0.2719
Cu 0.7579 0.7579 0.7406

Most intense lines, 10° ≤ 2θ ≤ 90°, sorted by position:
2θ/deg	I (rel.)
15.62	26
23.51	35
30.00	20
43.89	35
44.23	41
44.74	89
45.08	100
64.96	22


# 4
Starting from a PBE-relaxed structure, the powder X-ray diffraction pattern of Al3Cu was calculated for λ = 1.5418 Å (Cu Kα).
No peak broadening, texture or thermal motion is included.

abc: 2.8262 2.8262 7.4680
angles: 90.00 90.00 90.00
Atoms (fractional coordinates):
Al 0.0000 0.0000 0.0000
Al 0.5000 0.5000 0.2737
Al 0.5000 0.5000 0.7263
Cu 0.0000 0.0000 0.5000

Most intense lines, 10° ≤ 2θ ≤ 90°, sorted by position:
2θ/deg	I (rel.)
11.85	52
40.01	100
45.38	35
48.76	23
66.13	11
68.82	17
80.18	27
86.34	13


# 5
Starting from a PBE-relaxed structure, the powder X-ray diffraction pattern of AlCu was calculated for λ = 1.5418 Å (Cu Kα).
No peak broadening, texture or thermal motion is included.

abc: 2.9975 2.9975 2.9975
angles: 90.00 90.00 90.00
Atoms (fractional coordinates):
Al 0.0000 0.0000 0.0000
Cu 0.5000 0.5000 0.5000

Most intense lines, 10° ≤ 2θ ≤ 90°, sorted by position:
2θ/deg	I (rel.)
29.81	26
42.66	100
52.91	6
61.91	16
70.21	7
78.10	30


# 6
Starting from a PBE-relaxed structure, the powder X-ray diffraction pattern of AlCu4 was calculated for λ = 1.5418 Å (Cu Kα).
No peak broadening, texture or thermal motion is included.

abc: 6.2921 6.2921 6.2921
angles: 90.00 90.00 90.00
Atoms (fractional coordinates):
Al 0.0637 0.0637 0.0637
Al 0.4363 0.9363 0.5637
Al 0.5637 0.4363 0.9363
Al 0.9363 0.5637 0.4363
Cu 0.0461 0.8769 0.7023
Cu 0.1231 0.2023 0.4539
Cu 0.1903 0.8097 0.3097
Cu 0.2023 0.4539 0.1231
Cu 0.2977 0.5461 0.6231
Cu 0.3097 0.1903 0.8097
Cu 0.3769 0.7977 0.9539
Cu 0.4539 0.1231 0.2023
Cu 0.5461 0.6231 0.2977
Cu 0.6231 0.2977 0.5461
Cu 0.6903 0.6903 0.6903
Cu 0.7023 0.0461 0.8769
Cu 0.7977 0.9539 0.3769
Cu 0.8097 0.3097 0.1903
Cu 0.8769 0.7023 0.0461
Cu 0.9539 0.3769 0.7977

Most intense lines, 10° ≤ 2θ ≤ 90°, sorted by position:
2θ/deg	I (rel.)
31.80	13
43.13	100
45.59	59
47.95	25
62.64	8
66.45	7
77.33	23
82.57	18


# 7
Starting from a PBE-relaxed structure, the powder X-ray diffraction pattern of Dy6Al7Cu16 was calculated for λ = 1.5418 Å (Cu Kα).
No peak broadening, texture or thermal motion is included.

abc: 8.6970 8.6970 8.6970
angles: 60.00 60.00 60.00
Atoms (fractional coordinates):
Dy 0.2135 0.2135 0.7865
Dy 0.2135 0.7865 0.2135
Dy 0.2135 0.7865 0.7865
Dy 0.7865 0.2135 0.2135
Dy 0.7865 0.2135 0.7865
Dy 0.7865 0.7865 0.2135
Al 0.0000 0.0000 0.5000
Al 0.0000 0.5000 0.0000
Al 0.0000 0.5000 0.5000
Al 0.5000 0.0000 0.0000
Al 0.5000 0.0000 0.5000
Al 0.5000 0.5000 0.0000
Al 0.5000 0.5000 0.5000
Cu 0.1351 0.6216 0.6216
Cu 0.1731 0.1731 0.1731
Cu 0.1731 0.1731 0.4806
Cu 0.1731 0.4806 0.1731
Cu 0.3784 0.3784 0.3784
Cu 0.3784 0.3784 0.8649
Cu 0.3784 0.8649 0.3784
Cu 0.4806 0.1731 0.1731
Cu 0.5194 0.8269 0.8269
Cu 0.6216 0.1351 0.6216
Cu 0.6216 0.6216 0.1351
Cu 0.6216 0.6216 0.6216
Cu 0.8269 0.5194 0.8269
Cu 0.8269 0.8269 0.5194
Cu 0.8269 0.8269 0.8269
Cu 0.8649 0.3784 0.3784

Most intense lines, 10° ≤ 2θ ≤ 90°, sorted by position:
2θ/deg	I (rel.)
25.08	65
35.76	29
38.01	96
41.53	100
44.18	19
64.26	21
77.17	17
80.84	21


# 8
Starting from a PBE-relaxed structure, the powder X-ray diffraction pattern of DyAlCu was calculated for λ = 1.5418 Å (Cu Kα).
No peak broadening, texture or thermal motion is included.

abc: 7.0355 7.0355 4.0502
angles: 90.00 90.00 120.00
Atoms (fractional coordinates):
Dy 0.0000 0.5865 0.0000
Dy 0.4135 0.4135 0.0000
Dy 0.5865 0.0000 0.0000
Al 0.0000 0.2357 0.5000
Al 0.2357 0.0000 0.5000
Al 0.7643 0.7643 0.5000
Cu 0.0000 0.0000 0.0000
Cu 0.3333 0.6667 0.5000
Cu 0.6667 0.3333 0.5000

Most intense lines, 10° ≤ 2θ ≤ 90°, sorted by position:
2θ/deg	I (rel.)
21.95	28
25.32	37
29.32	31
33.75	100
36.92	94
39.12	30
44.75	24
59.25	34


# 9
Starting from a PBE-relaxed structure, the powder X-ray diffraction pattern of DyAl8Cu4 was calculated for λ = 1.5418 Å (Cu Kα).
No peak broadening, texture or thermal motion is included.

abc: 6.7382 6.7382 6.7382
angles: 98.37 98.37 135.15
Atoms (fractional coordinates):
Dy 0.0000 0.0000 0.0000
Al 0.0000 0.3480 0.3480
Al 0.0000 0.6520 0.6520
Al 0.2812 0.5000 0.7812
Al 0.3480 0.0000 0.3480
Al 0.5000 0.2812 0.7812
Al 0.5000 0.7188 0.2188
Al 0.6520 0.0000 0.6520
Al 0.7188 0.5000 0.2188
Cu 0.0000 0.0000 0.5000
Cu 0.0000 0.5000 0.0000
Cu 0.5000 0.0000 0.0000
Cu 0.5000 0.5000 0.5000

Most intense lines, 10° ≤ 2θ ≤ 90°, sorted by position:
2θ/deg	I (rel.)
14.22	30
20.00	29
28.55	40
28.66	40
35.20	30
40.64	79
40.94	100
59.09	29


# 10
Starting from a PBE-relaxed structure, the powder X-ray diffraction pattern of DyAlCu was calculated for λ = 1.5418 Å (Cu Kα).
No peak broadening, texture or thermal motion is included.

abc: 5.3634 5.3634 5.3634
angles: 119.20 119.07 91.51
Atoms (fractional coordinates):
Dy 0.3772 0.1272 0.2500
Dy 0.6228 0.8728 0.7500
Al 0.0000 0.0000 0.5000
Al 0.0000 0.5000 0.0000
Cu 0.0000 0.5000 0.5000
Cu 0.5000 0.5000 0.0000

Most intense lines, 10° ≤ 2θ ≤ 90°, sorted by position:
2θ/deg	I (rel.)
20.19	46
32.99	41
33.43	74
38.97	100
39.76	48
59.17	29
62.92	24
70.22	21


# 11
Starting from a PBE-relaxed structure, the powder X-ray diffraction pattern of DyAl6Cu6 was calculated for λ = 1.5418 Å (Cu Kα).
No peak broadening, texture or thermal motion is included.

abc: 6.6086 6.6086 6.6086
angles: 134.64 99.04 98.06
Atoms (fractional coordinates):
Dy 0.0000 0.0000 0.0000
Al 0.2058 0.7058 0.5000
Al 0.3455 0.0000 0.3455
Al 0.3484 0.3484 0.0000
Al 0.6516 0.6516 0.0000
Al 0.6545 0.0000 0.6545
Al 0.7942 0.2942 0.5000
Cu 0.0000 0.0000 0.5000
Cu 0.0000 0.5000 0.0000
Cu 0.2265 0.5000 0.7265
Cu 0.5000 0.0000 0.0000
Cu 0.5000 0.5000 0.5000
Cu 0.7735 0.5000 0.2735

Most intense lines, 10° ≤ 2θ ≤ 90°, sorted by position:
2θ/deg	I (rel.)
14.53	50
29.09	60
41.10	74
41.21	35
41.67	100
41.79	39
42.12	41
60.33	35


# 12
Starting from a PBE-relaxed structure, the powder X-ray diffraction pattern of ErAl8Cu4 was calculated for λ = 1.5418 Å (Cu Kα).
No peak broadening, texture or thermal motion is included.

abc: 6.7296 6.7296 6.7296
angles: 98.28 98.28 135.39
Atoms (fractional coordinates):
Er 0.0000 0.0000 0.0000
Al 0.0000 0.3475 0.3475
Al 0.0000 0.6525 0.6525
Al 0.2824 0.5000 0.7824
Al 0.3475 0.0000 0.3475
Al 0.5000 0.2824 0.7824
Al 0.5000 0.7176 0.2176
Al 0.6525 0.0000 0.6525
Al 0.7176 0.5000 0.2176
Cu 0.0000 0.0000 0.5000
Cu 0.0000 0.5000 0.0000
Cu 0.5000 0.0000 0.0000
Cu 0.5000 0.5000 0.5000

Most intense lines, 10° ≤ 2θ ≤ 90°, sorted by position:
2θ/deg	I (rel.)
14.23	33
20.11	35
28.65	81
35.27	31
40.85	77
40.98	100
59.27	34
74.61	28